Starting from a cell relaxed with GGA-PBE, the powder diffraction line list of La6Pr3Sn was calculated for Cu Kα X-rays.

Crystal structure
```
data_La6Pr3Sn
_chemical_formula_sum 'La12 Pr6 Sn2'
_symmetry_space_group_name_H-M 'P 1 21/m 1'
_symmetry_Int_Tables_number 11
_symmetry_space_group_name_Hall '-P 2yb'
_cell_length_a 9.8373
_cell_length_b 5.8736
_cell_length_c 12.8676
_cell_angle_alpha 90.00
_cell_angle_beta 109.46
_cell_angle_gamma 90.00
loop_
_atom_site_label
_atom_site_fract_x
_atom_site_fract_y
_atom_site_fract_z
_atom_site_occupancy
La1 0.0372 0.2500 0.1874 1
La2 0.1681 0.2500 0.9762 1
La3 0.2025 0.7500 0.6411 1
La4 0.3866 0.7500 0.4249 1
La5 0.3981 0.2500 0.7821 1
La6 0.3995 0.2500 0.2429 1
Pr1 0.0078 0.7500 0.3321 1
Pr2 0.2034 0.2500 0.4798 1
Pr3 0.3865 0.7500 0.9461 1
Sn1 0.2018 0.7500 0.1362 1
```

Principal peaks in the range 10 to 80 degrees two-theta, in order of rising 2θ:
| Position (°2θ) | I_rel |
| --- | --- |
| 27.70 | 20 |
| 27.84 | 14 |
| 30.44 | 40 |
| 31.69 | 100 |
| 31.81 | 46 |
| 41.62 | 14 |
| 41.71 | 9 |
| 54.86 | 11 |
| 54.93 | 21 |
| 58.93 | 18 |